The following is a computed powder diffraction line list of SrSb2Pd2. It was derived from a crystal structure in the Materials Project, relaxed with GGA-PBE, using Cu Kα (λ = 1.5418 Å).

Cell and atoms:
```
SrSb2Pd2
1.0
-2.3460 2.3460 5.5373
2.3460 -2.3460 5.5373
2.3460 2.3460 -5.5373
Sr Sb Pd
1 2 2
Direct
0.0000 0.0000 0.0000 Sr
0.3679 0.3679 0.0000 Sb
0.6321 0.6321 0.0000 Sb
0.2500 0.7500 0.5000 Pd
0.7500 0.2500 0.5000 Pd
```

Largest 10 diffraction maxima, sorted by position, 10 to 90 degrees two-theta:
2theta  intensity
16.0  34.5
30.8  95.7
31.4  93.0
38.4  100.0
42.5  66.9
50.0  48.6
55.4  33.8
57.1  28.0
65.1  22.1
72.2  26.9